1.
Simulated XRD peak list of LiZn2Pb for copper Kα, from a GGA-PBE-relaxed structure.
Peak positions follow from Bragg's law for the DFT cell and can differ from measured ones.

Main lines, most intense first (5° ≤ 2θ ≤ 70°):
hkl  d/Å  Position (°2θ)  intensity
2 0 0  3.381  26.36  100.0
2 0 -2  2.644  33.91  83.5
1 1 0  3.686  24.14  73.0
2 0 1  2.327  38.70  70.2
3 1 -1  2.196  41.10  59.4
0 0 1  4.898  18.11  42.8
0 2 0  2.203  40.96  30.0
2 2 -2  1.690  54.26  22.1
4 0 -2  1.839  49.58  20.0
0 0 3  1.633  56.32  19.8

Structure:
```
data_LiZn2Pb
_chemical_formula_sum 'Li2 Zn4 Pb2'
_cell_length_a 7.600
_cell_length_b 4.406
_cell_length_c 5.512
_cell_angle_alpha 90.00
_cell_angle_beta 117.29
_cell_angle_gamma 90.00
_space_group_name_H-M_alt 'C 1 m 1'
_space_group_IT_number 8
loop_
_space_group_symop_operation_xyz
'x,y,z'
'x,-y,z'
'x+1/2,y+1/2,z'
'x+1/2,-y+1/2,z'
loop_
_atom_site_label
_atom_site_type_symbol
_atom_site_fract_x
_atom_site_fract_y
_atom_site_fract_z
Li1 Li 0.000 0.000 0.000
Zn1 Zn 0.263 0.500 0.290
Zn2 Zn 0.419 0.000 0.260
Pb1 Pb 0.212 0.000 0.635
```

=====

2.
Simulated XRD peak list of Li8ZnPb2 for copper Kα, from a GGA-PBE-relaxed structure.
Peak positions follow from Bragg's law for the DFT cell and can differ from measured ones.

Main lines, most intense first (5° ≤ 2θ ≤ 70°):
hkl  d/Å  Position (°2θ)  intensity
1 1 -1  3.820  23.29  100.0
2 0 1  3.763  23.64  91.4
3 1 0  3.356  26.56  88.1
1 1 2  2.297  39.21  61.7
2 2 1  2.024  44.77  34.8
2 0 0  7.036  12.58  33.5
2 0 -2  3.152  28.32  29.9
5 1 1  1.999  45.37  27.4
3 1 -3  1.924  47.23  26.2
0 2 0  2.401  37.45  18.6

Structure:
```
data_Li8ZnPb2
_chemical_formula_sum 'Li16 Zn2 Pb4'
_cell_length_a 15.411
_cell_length_b 4.802
_cell_length_c 6.304
_cell_angle_alpha 90.00
_cell_angle_beta 114.06
_cell_angle_gamma 90.00
_space_group_name_H-M_alt 'C 1 2/m 1'
_space_group_IT_number 12
loop_
_space_group_symop_operation_xyz
'x,y,z'
'-x,-y,-z'
'-x,y,-z'
'x,-y,z'
'x+1/2,y+1/2,z'
'-x+1/2,-y+1/2,-z'
'-x+1/2,y+1/2,-z'
'x+1/2,-y+1/2,z'
loop_
_atom_site_label
_atom_site_type_symbol
_atom_site_fract_x
_atom_site_fract_y
_atom_site_fract_z
Li1 Li 0.000 0.000 0.237
Li2 Li 0.150 0.500 0.387
Li3 Li 0.150 0.500 0.914
Li4 Li 0.177 0.000 0.678
Zn1 Zn 0.000 0.500 0.500
Pb1 Pb 0.181 0.000 0.181
```